Tm2InO4: computed PXRD pattern (Cu Kα (λ = 1.5418 Å)), based on a DFT-relaxed cell (GGA-PBE, OQMD).
No peak broadening, texture or thermal motion is included.

Main lines, in order of rising 2θ (2θ = 5–70°):
2θ/deg, Rel. int., hkl
16.20, 24, 1 1 1
26.61, 18, 2 2 0
31.31, 100, 3 1 1
32.74, 35, 2 2 2
37.99, 19, 4 0 0
46.98, 7, 4 2 2
50.02, 39, 5 1 1
54.81, 42, 4 4 0
64.49, 13, 5 3 3
65.33, 17, 6 2 2

Structural model:
abc: 9.4744 9.4744 9.4744
angles: 90.00 90.00 90.00
Space group Fd-3m (No. 227, origin choice 2)
Unique sites:
1 Tm 0.0000 0.0000 0.0000 [16 per cell]
2 In 0.1250 0.1250 0.6250 [8 per cell]
3 O 0.0142 0.0142 0.2358 [32 per cell]